No. 1
Li2Co3O6: calculated PXRD pattern (Cu Kα (λ = 1.5418 Å)), based on a cell relaxed with GGA+U.

Structure:
```
Li2Co3O6
1.0
2.523 -4.341 0.000
2.523 4.341 0.000
-1.805 0.000 4.878
Li Co O
2 3 6
Cartesian
0.000 0.000 0.000 Li
2.523 -1.337 0.000 Li
1.620 2.990 2.439 Co
1.620 0.122 2.439 Co
1.620 -2.856 2.439 Co
0.773 1.559 1.437 O
-0.200 -0.046 3.551 O
0.754 -1.264 1.456 O
2.468 1.559 3.441 O
3.441 -0.046 1.327 O
2.487 -1.264 3.422 O
```

Top 12 peaks for 2θ from 10° to 90°, by intensity:
2θ = 18.19°, d 4.878, I 1000; 2θ = 44.00°, d 2.058, I 377; 2θ = 36.39°, d 2.469, I 231; 2θ = 43.05°, d 2.101, I 202; 2θ = 35.98°, d 2.496, I 124; 2θ = 64.05°, d 1.454, I 105; 2θ = 62.44°, d 1.487, I 102; 2θ = 57.74°, d 1.597, I 96; 2θ = 37.74°, d 2.384, I 78; 2θ = 47.42°, d 1.917, I 75; 2θ = 56.46°, d 1.630, I 51; 2θ = 64.38°, d 1.447, I 50

No. 2
Li4CoO4: calculated PXRD pattern (Cu Kα (λ = 1.5418 Å)), based on a cell relaxed with GGA+U.

Structure:
```
Li4CoO4
1.0
6.712 0.000 0.000
0.000 9.216 0.000
0.000 0.000 6.312
Li Co O
16 4 16
Cartesian
0.255 1.202 1.557 Li
0.255 1.202 4.755 Li
1.215 5.416 0.000 Li
1.673 7.554 3.156 Li
1.683 2.946 0.000 Li
2.141 0.808 3.156 Li
3.101 5.811 1.599 Li
3.101 5.811 4.713 Li
3.611 3.406 1.599 Li
3.611 3.406 4.713 Li
4.571 8.408 3.156 Li
5.029 6.270 0.000 Li
5.039 1.662 3.156 Li
5.497 3.800 0.000 Li
6.457 8.014 1.557 Li
6.457 8.014 4.755 Li
1.622 3.451 3.156 Co
1.734 8.059 0.000 Co
4.978 1.157 0.000 Co
5.090 5.765 3.156 Co
0.170 7.035 0.000 O
0.333 2.201 3.156 O
1.542 8.927 1.580 O
1.542 8.927 4.732 O
1.814 4.318 1.576 O
1.814 4.318 4.736 O
3.023 6.809 0.000 O
3.186 2.427 3.156 O
3.527 6.790 3.156 O
3.689 2.407 0.000 O
4.898 4.898 1.576 O
4.898 4.898 4.736 O
5.170 0.290 1.580 O
5.170 0.290 4.732 O
6.379 7.015 3.156 O
6.542 2.182 0.000 O
```

Top 12 peaks for 2θ from 10° to 90°, by intensity:
2θ = 21.60°, d 4.114, I 1000; 2θ = 23.42°, d 3.799, I 864; 2θ = 17.03°, d 5.208, I 481; 2θ = 56.55°, d 1.627, I 357; 2θ = 37.03°, d 2.428, I 255; 2θ = 34.44°, d 2.604, I 247; 2θ = 26.56°, d 3.356, I 245; 2θ = 33.02°, d 2.713, I 224; 2θ = 31.72°, d 2.821, I 215; 2θ = 28.28°, d 3.156, I 203; 2θ = 35.13°, d 2.554, I 195; 2θ = 45.04°, d 2.013, I 183